# 1
# Nd8Dy3Y2
Computed powder XRD pattern, copper Kα. Input: a DFT-relaxed cell (GGA-PBE, Alexandria).

Atomic structure:
Lattice parameters (Å, degrees): 10.9661 10.9661 5.7569 90.02 90.02 41.30
Sites, in units of the cell vectors:
1 Nd 0.0999 0.6892 0.9998
2 Nd 0.1716 0.1716 0.5008
3 Nd 0.3108 0.9001 0.0002
4 Nd 0.3690 0.3690 0.5005
5 Nd 0.6310 0.6310 0.4995
6 Nd 0.6892 0.0999 0.9998
7 Nd 0.8284 0.8284 0.4992
8 Nd 0.9001 0.3108 0.0002
9 Dy 0.2146 0.7854 0.5000
10 Dy 0.5000 0.5000 0.0000
11 Dy 0.7854 0.2146 0.5000
12 Y 0.2599 0.2599 0.0011
13 Y 0.7401 0.7401 0.9989

Principal peaks in the range 15 to 90 degrees two-theta, by angle:
two_theta, d/Å, Rel. int.
24.60, 3.619, 19
29.11, 3.067, 48
30.40, 2.941, 33
31.07, 2.878, 45
32.91, 2.721, 100
34.99, 2.565, 14
35.08, 2.558, 12
46.99, 1.934, 11
47.53, 1.913, 17
56.46, 1.630, 21
63.31, 1.469, 13
66.62, 1.404, 12

***

# 2
# CeSnS2N
Computed powder XRD pattern, copper Kα. Input: a DFT-relaxed cell (GGA-PBE, Alexandria).

Atomic structure:
Lattice parameters (Å, degrees): 3.8866 3.8866 13.8611 90.00 90.00 90.00
Sites, in units of the cell vectors:
1 Ce 0.2500 0.2500 0.0860
2 Ce 0.7500 0.7500 0.9140
3 Sn 0.2500 0.2500 0.6294
4 Sn 0.7500 0.7500 0.3706
5 S 0.2500 0.2500 0.3984
6 S 0.2500 0.2500 0.8076
7 S 0.7500 0.7500 0.1924
8 S 0.7500 0.7500 0.6016
9 N 0.2500 0.7500 0.0000
10 N 0.7500 0.2500 0.0000

Principal peaks in the range 15 to 90 degrees two-theta, by angle:
two_theta, d/Å, Rel. int.
25.71, 3.465, 32
26.29, 3.390, 100
30.04, 2.974, 24
32.58, 2.748, 80
34.68, 2.587, 19
39.95, 2.257, 25
41.96, 2.153, 45
46.74, 1.943, 34
54.11, 1.695, 17
54.42, 1.686, 30
57.35, 1.607, 18
77.69, 1.229, 14

***

# 3
# Tb4ZrSc5
Computed powder XRD pattern, copper Kα. Input: a DFT-relaxed cell (GGA-PBE, Alexandria).

Atomic structure:
Lattice parameters (Å, degrees): 7.6570 7.6570 7.6570 97.53 97.53 137.55
Sites, in units of the cell vectors:
1 Tb 0.0000 0.3184 0.3184
2 Tb 0.0000 0.6816 0.6816
3 Tb 0.3184 0.0000 0.3184
4 Tb 0.6816 0.0000 0.6816
5 Zr 0.7755 0.7755 0.0000
6 Sc 0.2511 0.2511 0.0000
7 Sc 0.3323 0.3323 0.6298
8 Sc 0.3323 0.7024 0.0000
9 Sc 0.7024 0.3323 0.0000
10 Sc 0.7024 0.7024 0.3702

Principal peaks in the range 15 to 90 degrees two-theta, by angle:
two_theta, d/Å, Rel. int.
25.44, 3.501, 39
27.95, 3.192, 12
31.09, 2.876, 100
32.29, 2.772, 16
34.71, 2.584, 16
37.81, 2.379, 37
41.23, 2.189, 15
50.55, 1.805, 16
54.55, 1.682, 11
56.84, 1.620, 15
57.18, 1.611, 12
64.13, 1.452, 19